Entry 1:
The following is a simulated PXRD pattern of TbF4. It was derived from a PBE-relaxed structure, using Cu Kα (λ = 1.5418 Å).
Peak positions follow from Bragg's law for the DFT cell and can differ from measured ones.

Cell and atoms:
a = 12.419 Å, b = 11.232 Å, c = 8.026 Å
α = 90.00°, β = 122.63°, γ = 90.00°
Space group C2/c (No. 15)
One atom of each set of equivalent atoms:
Tb 0.000 0.198 0.250 (multiplicity 4)
Tb 0.208 0.433 0.864 (multiplicity 8)
F 0.000 0.408 0.750 (multiplicity 4)
F 0.098 0.305 0.554 (multiplicity 8)
F 0.121 0.049 0.440 (multiplicity 8)
F 0.130 0.153 0.144 (multiplicity 8)
F 0.138 0.361 0.352 (multiplicity 8)
F 0.194 0.456 0.128 (multiplicity 8)
F 0.250 0.250 0.000 (multiplicity 4)

Principal peaks in the range 2θ = 10–90°, most intense first:
- hkl 0 2 1, 2θ = 20.56°, I 100
- hkl 2 2 0, 2θ = 23.24°, I 83
- hkl 3 1 -1, 2θ = 22.90°, I 72
- hkl 1 3 -1, 2θ = 26.31°, I 67
- hkl 1 1 1, 2θ = 20.68°, I 58
- hkl 2 4 1, 2θ = 41.97°, I 53
- hkl 1 1 -2, 2θ = 24.23°, I 45
- hkl 3 1 -2, 2θ = 26.17°, I 44
- hkl 3 1 0, 2θ = 26.77°, I 40
- hkl 2 0 -4, 2θ = 46.72°, I 37


Entry 2:
The following is a simulated PXRD pattern of Tb4F15. It was derived from a PBE-relaxed structure, using Cu Kα (λ = 1.5418 Å).
Peak positions follow from Bragg's law for the DFT cell and can differ from measured ones.

Cell and atoms:
a = 13.1065 Å, b = 13.1065 Å, c = 12.5869 Å
α = 90.00°, β = 90.00°, γ = 120.00°
Space group R-3c (No. 167, hexagonal axes)
One atom of each set of equivalent atoms:
Tb 0.0000 0.0000 0.2500 (multiplicity 6)
Tb 0.0000 0.4346 0.2500 (multiplicity 18)
F 0.0000 0.2859 0.7500 (multiplicity 18)
F 0.0513 0.4650 0.6368 (multiplicity 36)
F 0.0706 0.1582 0.6485 (multiplicity 36)

Principal peaks in the range 2θ = 10–90°, most intense first:
- hkl 2 0 2, 2θ = 21.08°, I 100
- hkl 5 0 2, 2θ = 42.35°, I 31
- hkl 2 1 1, 2θ = 21.89°, I 28
- hkl 1 3 1, 2θ = 29.24°, I 25
- hkl 1 1 3, 2θ = 25.20°, I 21
- hkl 2 2 0, 2θ = 27.22°, I 18
- hkl 5 2 0, 2θ = 50.19°, I 17
- hkl 0 2 4, 2θ = 32.54°, I 16
- hkl 3 1 5, 2θ = 46.17°, I 15
- hkl 3 3 3, 2θ = 46.89°, I 14


Entry 3:
The following is a simulated PXRD pattern of Tb2UF11. It was derived from a PBE-relaxed structure, using Cu Kα (λ = 1.5418 Å).
Peak positions follow from Bragg's law for the DFT cell and can differ from measured ones.

Cell and atoms:
a = 8.131 Å, b = 10.356 Å, c = 11.131 Å
α = 90.00°, β = 90.00°, γ = 90.00°
Space group Ibam (No. 72)
One atom of each set of equivalent atoms:
Tb 0.135 0.183 0.000 (multiplicity 8)
U 0.000 0.500 0.250 (multiplicity 4)
F 0.000 0.000 0.000 (multiplicity 4)
F 0.098 0.325 0.154 (multiplicity 16)
F 0.127 0.226 0.500 (multiplicity 8)
F 0.202 0.439 0.365 (multiplicity 16)

Principal peaks in the range 2θ = 10–90°, most intense first:
- hkl 1 1 2, 2θ = 21.16°, I 100
- hkl 0 2 2, 2θ = 23.47°, I 62
- hkl 2 1 1, 2θ = 24.85°, I 41
- hkl 1 2 1, 2θ = 21.86°, I 30
- hkl 1 1 0, 2θ = 13.85°, I 30
- hkl 3 3 2, 2θ = 45.57°, I 29
- hkl 4 0 2, 2θ = 47.64°, I 28
- hkl 1 3 4, 2θ = 43.22°, I 27
- hkl 1 3 0, 2θ = 28.08°, I 27
- hkl 1 5 2, 2θ = 48.20°, I 20


Entry 4:
The following is a simulated PXRD pattern of Tb2YF11. It was derived from a PBE-relaxed structure, using Cu Kα (λ = 1.5418 Å).
Peak positions follow from Bragg's law for the DFT cell and can differ from measured ones.

Cell and atoms:
a = 8.410 Å, b = 10.262 Å, c = 11.178 Å
α = 90.00°, β = 90.00°, γ = 90.00°
Space group Ibam (No. 72)
One atom of each set of equivalent atoms:
Tb 0.160 0.190 0.000 (multiplicity 8)
Y 0.000 0.500 0.250 (multiplicity 4)
F 0.000 0.000 0.000 (multiplicity 4)
F 0.102 0.330 0.144 (multiplicity 16)
F 0.109 0.193 0.500 (multiplicity 8)
F 0.205 0.424 0.366 (multiplicity 16)

Principal peaks in the range 2θ = 10–90°, most intense first:
- hkl 2 1 1, 2θ = 24.22°, I 100
- hkl 0 2 2, 2θ = 23.54°, I 87
- hkl 1 1 2, 2θ = 20.96°, I 85
- hkl 0 0 2, 2θ = 15.86°, I 67
- hkl 1 2 1, 2θ = 21.79°, I 66
- hkl 3 3 2, 2θ = 44.82°, I 62
- hkl 1 4 3, 2θ = 44.19°, I 37
- hkl 4 2 0, 2θ = 46.72°, I 31
- hkl 1 3 4, 2θ = 43.16°, I 30
- hkl 2 0 2, 2θ = 26.53°, I 23


Entry 5:
The following is a simulated PXRD pattern of TbZrF7. It was derived from a PBE-relaxed structure, using Cu Kα (λ = 1.5418 Å).
Peak positions follow from Bragg's law for the DFT cell and can differ from measured ones.

Cell and atoms:
a = 6.127 Å, b = 5.861 Å, c = 8.349 Å
α = 90.00°, β = 103.09°, γ = 90.00°
Space group P2_1 (No. 4)
One atom of each set of equivalent atoms:
Tb 0.152 0.000 0.188 (multiplicity 2)
Zr 0.317 0.005 0.726 (multiplicity 2)
F 0.025 0.723 0.011 (multiplicity 2)
F 0.076 0.760 0.707 (multiplicity 2)
F 0.096 0.270 0.709 (multiplicity 2)
F 0.268 0.001 0.476 (multiplicity 2)
F 0.361 0.006 0.974 (multiplicity 2)
F 0.431 0.268 0.254 (multiplicity 2)
F 0.435 0.743 0.261 (multiplicity 2)

Principal peaks in the range 2θ = 10–90°, most intense first:
- hkl 1 1 0, 2θ = 21.25°, I 100
- hkl 0 0 2, 2θ = 21.86°, I 36
- hkl 1 1 -2, 2θ = 28.08°, I 30
- hkl 1 1 1, 2θ = 25.45°, I 26
- hkl 2 2 1, 2θ = 46.52°, I 20
- hkl 2 2 -1, 2θ = 42.92°, I 17
- hkl 3 1 -1, 2θ = 47.13°, I 15
- hkl 0 1 2, 2θ = 26.68°, I 14
- hkl 2 2 -2, 2θ = 45.56°, I 14
- hkl 1 1 -1, 2θ = 22.31°, I 14


Entry 6:
The following is a simulated PXRD pattern of Tc4F. It was derived from a PBE-relaxed structure, using Cu Kα (λ = 1.5418 Å).
Peak positions follow from Bragg's law for the DFT cell and can differ from measured ones.

Cell and atoms:
a = 4.127 Å, b = 4.127 Å, c = 4.127 Å
α = 90.00°, β = 90.00°, γ = 90.00°
Space group Pm-3m (No. 221)
One atom of each set of equivalent atoms:
Tc 0.000 0.000 0.000 (multiplicity 1)
Tc 0.000 0.500 0.500 (multiplicity 3)
F 0.500 0.500 0.500 (multiplicity 1)

Principal peaks in the range 2θ = 10–90°, most intense first:
- hkl 1 1 1, 2θ = 37.75°, I 100
- hkl 2 0 0, 2θ = 43.87°, I 59
- hkl 2 2 0, 2θ = 63.78°, I 37
- hkl 3 1 1, 2θ = 76.56°, I 37
- hkl 2 2 2, 2θ = 80.63°, I 12
- hkl 1 0 0, 2θ = 21.53°, I 1
- hkl 1 1 0, 2θ = 30.63°, I 1